Record 1
# TiPb3
Simulated powder XRD pattern, Cu Kα. Input: a structure optimized by DFT (GGA-PBE).

Structural model:
Cell lengths 5.8427, 6.5287, 6.5383 Å; angles 60.05, 89.85, 89.95 degrees
Atoms (fractional coordinates):
Ti1 0.2455 0.3333 0.3334
Ti2 0.7545 0.6667 0.6666
Pb1 0.2502 0.8283 0.8290
Pb2 0.2508 0.3422 0.8295
Pb3 0.2506 0.8287 0.3425
Pb4 0.7494 0.1713 0.6575
Pb5 0.7492 0.6578 0.1705
Pb6 0.7498 0.1717 0.1710

Top 8 peaks for 10 to 80 degrees two-theta, sorted by position:
d = 4.065 Å, 21.86 deg, intensity 25, (1 1 1)
d = 2.921 Å, 30.60 deg, intensity 39, (2 0 0)
d = 2.830 Å, 31.62 deg, intensity 27, (0 2 0)
d = 2.547 Å, 35.23 deg, intensity 100, (1 0 2)
d = 2.544 Å, 35.28 deg, intensity 20, (-1 2 2)
d = 1.634 Å, 56.31 deg, intensity 21, (0 2 4)
d = 1.606 Å, 57.39 deg, intensity 15, (3 0 2)
d = 1.425 Å, 65.50 deg, intensity 18, (2 2 -2)



Record 2
# Ge
Simulated powder XRD pattern, Cu Kα. Input: a structure optimized by DFT (GGA-PBE).

Structural model:
Cell lengths 4.2838, 4.2838, 4.2838 Å; angles 90.00, 90.00, 90.00 degrees
Atoms (fractional coordinates):
Ge1 0.0000 0.0000 0.0000
Ge2 0.0000 0.5000 0.5000
Ge3 0.5000 0.0000 0.5000
Ge4 0.5000 0.5000 0.0000

Top 5 peaks for 10 to 80 degrees two-theta, sorted by position:
d = 2.473 Å, 36.32 deg, intensity 100, (1 1 1)
d = 2.142 Å, 42.19 deg, intensity 49, (2 0 0)
d = 1.515 Å, 61.20 deg, intensity 32, (2 2 0)
d = 1.292 Å, 73.29 deg, intensity 37, (3 1 1)
d = 1.237 Å, 77.13 deg, intensity 11, (2 2 2)



Copy entry 1 word for word.
# TiPb3
Simulated powder XRD pattern, Cu Kα. Input: a structure optimized by DFT (GGA-PBE).

Structural model:
Cell lengths 5.8427, 6.5287, 6.5383 Å; angles 60.05, 89.85, 89.95 degrees
Atoms (fractional coordinates):
Ti1 0.2455 0.3333 0.3334
Ti2 0.7545 0.6667 0.6666
Pb1 0.2502 0.8283 0.8290
Pb2 0.2508 0.3422 0.8295
Pb3 0.2506 0.8287 0.3425
Pb4 0.7494 0.1713 0.6575
Pb5 0.7492 0.6578 0.1705
Pb6 0.7498 0.1717 0.1710

Top 8 peaks for 10 to 80 degrees two-theta, sorted by position:
d = 4.065 Å, 21.86 deg, intensity 25, (1 1 1)
d = 2.921 Å, 30.60 deg, intensity 39, (2 0 0)
d = 2.830 Å, 31.62 deg, intensity 27, (0 2 0)
d = 2.547 Å, 35.23 deg, intensity 100, (1 0 2)
d = 2.544 Å, 35.28 deg, intensity 20, (-1 2 2)
d = 1.634 Å, 56.31 deg, intensity 21, (0 2 4)
d = 1.606 Å, 57.39 deg, intensity 15, (3 0 2)
d = 1.425 Å, 65.50 deg, intensity 18, (2 2 -2)